# Th6NiI15
Simulated XRD peak list, Cu Kα (weighted mean of Kα1 and Kα2). Input: a GGA-PBE-relaxed structure.
Peak positions follow from Bragg's law for the DFT cell and can differ from measured ones.

Structural model:
```
Th6NiI15
1.0
-6.191 6.191 6.191
6.191 -6.191 6.191
6.191 6.191 -6.191
Th Ni I
6 1 15
direct
0.000 0.231 0.231
0.000 0.769 0.769
0.231 0.000 0.231
0.231 0.231 0.000
0.769 0.000 0.769
0.769 0.769 0.000
0.000 0.000 0.000
0.000 0.253 0.747
0.000 0.500 0.500
0.000 0.747 0.253
0.253 0.000 0.747
0.253 0.253 0.506
0.253 0.506 0.253
0.253 0.747 0.000
0.494 0.747 0.747
0.500 0.000 0.500
0.500 0.500 0.000
0.506 0.253 0.253
0.747 0.000 0.253
0.747 0.253 0.000
0.747 0.494 0.747
0.747 0.747 0.494
```

Most intense lines, 2θ from 10° to 80°, in order of rising 2θ:
d_spacing	intensity
8.756	46
5.055	17
3.309	34
3.096	100
2.640	19
2.189	74
1.787	25
1.685	13
1.573	12
1.548	12
1.384	31
1.264	22